Simulated XRD peak list
Compound: MnCrCdO4
Radiation: Cu Kα (weighted mean of Kα1 and Kα2)
Structure: a crystal structure in Alexandria, relaxed with PBE+U
Peak positions follow from Bragg's law for the DFT cell and can differ from measured ones.

Main lines, sorted by position (2θ = 10–90°):
- 28.86 deg, d 3.094, I 32, (0 2 0)
- 28.99 deg, d 3.080, I 62, (1 1 2)
- 34.01 deg, d 2.636, I 100, (2 1 1)
- 34.24 deg, d 2.619, I 50, (0 1 3)
- 51.17 deg, d 1.785, I 11, (1 3 2)
- 51.27 deg, d 1.782, I 11, (3 1 2)
- 51.47 deg, d 1.776, I 11, (2 0 4)
- 54.51 deg, d 1.683, I 35, (2 3 1)
- 54.98 deg, d 1.670, I 17, (0 1 5)
- 59.70 deg, d 1.549, I 9, (0 4 0)
- 59.88 deg, d 1.545, I 9, (4 0 0)
- 60.08 deg, d 1.540, I 36, (2 2 4)

Structural model:
```
data_MnCrCdO4
_cell_length_a 6.179
_cell_length_b 6.196
_cell_length_c 8.673
_cell_angle_alpha 90.00
_cell_angle_beta 90.00
_cell_angle_gamma 90.00
_symmetry_space_group_name_H-M 'I m m a'
_symmetry_Int_Tables_number 74
_symmetry_space_group_name_Hall '-I 2b 2'
loop_
_atom_site_label
_atom_site_type_symbol
_atom_site_fract_x
_atom_site_fract_y
_atom_site_fract_z
Mn1 Mn 0.250 0.250 0.250
Cr1 Cr 0.000 0.000 0.000
Cd1 Cd 0.000 0.250 0.624
O1 O 0.000 0.039 0.234
O2 O 0.212 0.250 0.019
```